No. 1
Structure and calculated powder diffraction line list of SrAl2Pt5 (a cell relaxed with GGA-PBE; CuKα).
Peak positions follow from Bragg's law for the DFT cell and can differ from measured ones.

Peak list (10 most intense, 2θ = 10–90°, by angle)
d [Å], intensity
5.862, 27.2
2.931, 12.5
2.570, 100.0
2.073, 20.8
2.047, 26.4
1.975, 15.7
1.954, 12.7
1.430, 12.8
1.274, 10.1
1.227, 10.1

Atomic structure:
Unit cell a=3.9494 b=7.1776 c=10.1599 alpha=90.00 beta=90.00 gamma=90.00
Space group Immm (No. 71)
Inequivalent atoms, fractional coordinates:
Sr: 0.0000 0.0000 0.0000 [2 per cell]
Al: 0.0000 0.5000 0.2397 [4 per cell]
Pt: 0.0000 0.1967 0.3519 [8 per cell]
Pt: 0.0000 0.5000 0.0000 [2 per cell]

No. 2
Structure and calculated powder diffraction line list of Sr2Al5Pt4 (a cell relaxed with GGA-PBE; CuKα).
Peak positions follow from Bragg's law for the DFT cell and can differ from measured ones.

Peak list (10 most intense, 2θ = 10–90°, by angle)
d [Å], intensity
4.874, 49.3
3.496, 55.0
3.074, 92.3
2.936, 45.7
2.611, 100.0
2.248, 56.1
2.186, 21.4
2.092, 20.2
1.687, 24.9
1.625, 24.0

Atomic structure:
Unit cell a=5.8712 b=11.2036 c=13.9853 alpha=90.00 beta=90.00 gamma=90.00
Space group Fmmm (No. 69)
Inequivalent atoms, fractional coordinates:
Sr: 0.0000 0.0000 0.1544 [8 per cell]
Al: 0.0000 0.0000 0.5000 [4 per cell]
Al: 0.2500 0.2500 0.0000 [8 per cell]
Al: 0.2500 0.2500 0.2500 [8 per cell]
Pt: 0.0000 0.1496 0.3716 [16 per cell]

No. 3
Structure and calculated powder diffraction line list of Sr2AlZnPt2 (a cell relaxed with GGA-PBE; CuKα).
Peak positions follow from Bragg's law for the DFT cell and can differ from measured ones.

Peak list (10 most intense, 2θ = 10–90°, by angle)
d [Å], intensity
7.316, 29.1
3.770, 48.4
3.125, 38.9
3.096, 36.5
2.813, 100.0
2.376, 35.2
2.363, 33.7
2.200, 58.7
1.738, 24.3
1.689, 33.3

Atomic structure:
Unit cell a=6.1920 b=14.6316 c=6.2507 alpha=90.00 beta=90.00 gamma=90.00
Space group Ibam (No. 72)
Inequivalent atoms, fractional coordinates:
Sr: 0.2416 0.1703 0.0000 [8 per cell]
Al: 0.0000 0.5000 0.2500 [4 per cell]
Zn: 0.0000 0.0000 0.2500 [4 per cell]
Pt: 0.2337 0.4054 0.0000 [8 per cell]

No. 4
Structure and calculated powder diffraction line list of SrAlZnPt2 (a cell relaxed with GGA-PBE; CuKα).
Peak positions follow from Bragg's law for the DFT cell and can differ from measured ones.

Peak list (10 most intense, 2θ = 10–90°, by angle)
d [Å], intensity
3.956, 74.0
2.984, 68.2
2.818, 100.0
2.641, 29.8
2.110, 60.7
2.057, 53.5
2.000, 48.6
1.689, 44.3
1.492, 20.1
1.452, 34.8

Atomic structure:
Unit cell a=4.2199 b=4.2199 c=11.3579 alpha=90.00 beta=90.00 gamma=90.00
Space group I-4m2 (No. 119)
Inequivalent atoms, fractional coordinates:
Sr: 0.0000 0.0000 0.0000 [2 per cell]
Al: 0.0000 0.5000 0.7500 [2 per cell]
Zn: 0.0000 0.5000 0.2500 [2 per cell]
Pt: 0.0000 0.0000 0.3786 [4 per cell]

No. 5
Structure and calculated powder diffraction line list of Ta2AlPt (a cell relaxed with GGA-PBE; CuKα).
Peak positions follow from Bragg's law for the DFT cell and can differ from measured ones.

Peak list (10 most intense, 2θ = 10–90°, by angle)
d [Å], intensity
4.650, 45.5
2.428, 17.9
2.352, 100.0
2.325, 96.8
2.087, 35.4
1.996, 61.9
1.443, 43.8
1.250, 13.7
1.214, 25.0
1.203, 24.3

Atomic structure:
Unit cell a=5.5991 b=8.3489 c=2.8464 alpha=90.00 beta=90.00 gamma=90.00
Space group Cmmm (No. 65)
Inequivalent atoms, fractional coordinates:
Ta: 0.2500 0.2500 0.0000 [4 per cell]
Al: 0.0000 0.0000 0.5000 [2 per cell]
Pt: 0.0000 0.5000 0.5000 [2 per cell]

No. 6
Structure and calculated powder diffraction line list of TbAl5Pt3 (a cell relaxed with GGA-PBE; CuKα).
Peak positions follow from Bragg's law for the DFT cell and can differ from measured ones.

Peak list (10 most intense, 2θ = 10–90°, by angle)
d [Å], intensity
3.503, 32.6
3.285, 100.0
3.237, 59.6
3.124, 26.1
2.832, 21.4
2.669, 69.4
2.059, 38.8
2.023, 29.5
1.907, 23.2
1.752, 20.6

Atomic structure:
Unit cell a=4.0462 b=12.9470 c=12.4945 alpha=90.00 beta=90.00 gamma=90.00
Space group Cmcm (No. 63)
Inequivalent atoms, fractional coordinates:
Tb: 0.0000 0.1464 0.2500 [4 per cell]
Al: 0.0000 0.0000 0.0000 [4 per cell]
Al: 0.0000 0.2002 0.5614 [8 per cell]
Al: 0.0000 0.4368 0.1474 [8 per cell]
Pt: 0.0000 0.1289 0.7500 [4 per cell]
Pt: 0.0000 0.3887 0.5511 [8 per cell]

No. 7
Structure and calculated powder diffraction line list of TbAl3Pt (a cell relaxed with GGA-PBE; CuKα).
Peak positions follow from Bragg's law for the DFT cell and can differ from measured ones.

Peak list (10 most intense, 2θ = 10–90°, by angle)
d [Å], intensity
5.373, 38.1
3.945, 39.8
2.999, 60.3
2.737, 100.0
2.619, 54.1
2.121, 41.0
1.917, 33.1
1.676, 47.1
1.538, 15.5
1.422, 25.1

Atomic structure:
Unit cell a=5.9945 b=6.0016 c=6.1488 alpha=90.00 beta=119.10 gamma=90.00
Space group Cm (No. 8)
Inequivalent atoms, fractional coordinates:
Tb: 0.0000 0.0000 0.0000 [2 per cell]
Al: 0.0874 0.5000 0.1748 [2 per cell]
Al: 0.4924 0.2499 0.4860 [4 per cell]
Pt: 0.3618 0.0000 0.7255 [2 per cell]

No. 8
Structure and calculated powder diffraction line list of Tb2Al5Pt (a cell relaxed with GGA-PBE; CuKα).
Peak positions follow from Bragg's law for the DFT cell and can differ from measured ones.

Peak list (10 most intense, 2θ = 10–90°, by angle)
d [Å], intensity
5.009, 43.4
3.109, 49.0
3.048, 100.0
2.641, 28.4
2.505, 31.5
2.198, 39.2
1.980, 14.6
1.905, 15.6
1.783, 40.1
1.524, 14.8

Atomic structure:
Unit cell a=6.2176 b=6.2176 c=8.4567 alpha=90.00 beta=90.00 gamma=90.00
Space group I4mm (No. 107)
Inequivalent atoms, fractional coordinates:
Tb: 0.0000 0.5000 0.0000 [4 per cell]
Al: 0.0000 0.0000 0.4871 [2 per cell]
Al: 0.2176 0.2176 0.7455 [8 per cell]
Pt: 0.0000 0.0000 0.1884 [2 per cell]

No. 9
Structure and calculated powder diffraction line list of Tb4Al16Pt3 (a cell relaxed with GGA-PBE; CuKα).
Peak positions follow from Bragg's law for the DFT cell and can differ from measured ones.

Peak list (10 most intense, 2θ = 10–90°, by angle)
d [Å], intensity
4.375, 62.2
4.076, 29.6
3.094, 53.1
2.840, 100.0
2.382, 60.4
2.188, 53.4
2.076, 22.0
1.733, 45.7
1.547, 17.5
1.297, 16.3

Atomic structure:
Unit cell a=6.1878 b=6.1878 c=11.2028 alpha=90.00 beta=90.00 gamma=90.00
Space group P4/mmm (No. 123)
Inequivalent atoms, fractional coordinates:
Tb: 0.0000 0.5000 0.1900 [4 per cell]
Al: 0.0000 0.0000 0.1977 [2 per cell]
Al: 0.2128 0.2128 0.0000 [4 per cell]
Al: 0.2452 0.2452 0.3768 [8 per cell]
Al: 0.5000 0.5000 0.2273 [2 per cell]
Pt: 0.0000 0.5000 0.5000 [2 per cell]
Pt: 0.5000 0.5000 0.0000 [1 per cell]

No. 10
Structure and calculated powder diffraction line list of TbAlPt (a cell relaxed with GGA-PBE; CuKα).
Peak positions follow from Bragg's law for the DFT cell and can differ from measured ones.

Peak list (10 most intense, 2θ = 10–90°, by angle)
d [Å], intensity
3.514, 48.9
3.488, 84.9
3.132, 46.6
2.660, 53.2
2.644, 83.1
2.488, 100.0
2.462, 68.2
2.449, 100.0
2.141, 99.5
2.036, 46.7

Atomic structure:
Unit cell a=7.0415 b=4.2828 c=11.9428 alpha=90.00 beta=91.00 gamma=90.00
Space group P2_1/m (No. 11)
Inequivalent atoms, fractional coordinates:
Tb: 0.0264 0.2500 0.3746 [2 per cell]
Tb: 0.1522 0.2500 0.0811 [2 per cell]
Tb: 0.4709 0.7500 0.7082 [2 per cell]
Al: 0.1430 0.2500 0.7967 [2 per cell]
Al: 0.3535 0.7500 0.4569 [2 per cell]
Al: 0.4951 0.7500 0.0839 [2 per cell]
Pt: 0.2356 0.7500 0.2445 [2 per cell]
Pt: 0.2718 0.7500 0.9088 [2 per cell]
Pt: 0.2733 0.2500 0.5733 [2 per cell]

No. 11
Structure and calculated powder diffraction line list of Tb2AlPt4 (a cell relaxed with GGA-PBE; CuKα).
Peak positions follow from Bragg's law for the DFT cell and can differ from measured ones.

Peak list (10 most intense, 2θ = 10–90°, by angle)
d [Å], intensity
4.278, 63.3
3.423, 100.0
2.681, 82.5
2.540, 73.2
2.278, 41.1
2.255, 62.6
2.194, 45.3
2.178, 69.0
2.129, 68.8
2.107, 52.6

Atomic structure:
Unit cell a=8.2062 b=5.4797 c=7.7273 alpha=90.00 beta=118.91 gamma=90.00
Space group C2/m (No. 12)
Inequivalent atoms, fractional coordinates:
Tb: 0.1263 0.0000 0.2893 [4 per cell]
Al: 0.0000 0.5000 0.0000 [2 per cell]
Pt: 0.0118 0.5000 0.3370 [4 per cell]
Pt: 0.2500 0.2500 0.0000 [4 per cell]

No. 12
Structure and calculated powder diffraction line list of TbTiAlPt2 (a cell relaxed with GGA-PBE; CuKα).
Peak positions follow from Bragg's law for the DFT cell and can differ from measured ones.

Peak list (10 most intense, 2θ = 10–90°, by angle)
d [Å], intensity
3.841, 27.9
2.878, 84.1
2.806, 100.0
2.579, 46.2
2.044, 24.3
2.035, 55.1
2.018, 72.0
1.647, 41.6
1.439, 18.0
1.433, 48.1

Atomic structure:
Unit cell a=4.0695 b=4.0695 c=11.6193 alpha=90.00 beta=90.00 gamma=90.00
Space group I-4m2 (No. 119)
Inequivalent atoms, fractional coordinates:
Tb: 0.0000 0.0000 0.0000 [2 per cell]
Ti: 0.0000 0.5000 0.7500 [2 per cell]
Al: 0.0000 0.5000 0.2500 [2 per cell]
Pt: 0.0000 0.0000 0.3855 [4 per cell]